No. 1
Diffraction record for MoPO5. The powder diffractogram is simulated, not measured: it uses a crystal structure in the Materials Project, relaxed with GGA+U and CuKα.

Cell and atoms:
```
56
Lattice="13.0532 0.0000 0.0000 0.0000 6.4825 0.0000 0.0000 0.0000 10.8619" Properties=species:S:1:pos:R:3 pbc="T T T"
Mo 1.5460 0.1651 0.0000
Mo 3.1455 1.6216 7.9766
Mo 3.3811 4.8629 2.5456
Mo 4.9806 3.4063 5.4310
Mo 8.0726 3.0761 0.0000
Mo 9.6721 1.6196 7.9766
Mo 9.9077 4.8608 2.5456
Mo 11.5072 6.3174 5.4310
P 0.0699 5.4563 2.6129
P 2.3672 3.4116 10.6410
P 4.1594 0.1703 5.2100
P 6.4567 2.2151 8.0439
P 6.5965 4.2674 2.6129
P 8.8938 6.3121 10.6410
P 10.6859 3.0709 5.2100
P 12.9833 1.0261 8.0439
O 0.1546 0.3170 9.4094
O 0.2001 0.0452 1.4951
O 1.1460 1.9446 7.7674
O 1.3531 4.6072 2.6762
O 1.4358 4.6291 10.4924
O 1.5119 2.1802 0.1775
O 2.8392 0.4265 9.2819
O 2.9107 6.3433 1.1512
O 3.1279 0.4504 6.3513
O 3.1704 3.1425 9.3477
O 3.3562 6.3837 3.9168
O 3.3987 3.6916 0.9203
O 3.6159 3.1021 6.5822
O 3.6874 3.6677 3.8510
O 5.0147 5.4214 5.6085
O 5.0908 1.3879 5.0615
O 5.1735 1.3660 8.1071
O 5.3806 5.1858 2.3364
O 6.3265 3.2864 6.9261
O 6.3720 3.5583 3.9784
O 6.6812 2.9242 9.4094
O 6.7266 3.1960 1.4951
O 7.6726 1.2966 7.7674
O 7.8796 5.1165 2.6762
O 7.9624 5.0946 10.4924
O 8.0385 1.0610 0.1775
O 9.3658 2.8147 9.2819
O 9.4373 3.3804 1.1512
O 9.6545 2.7909 6.3513
O 9.6970 0.0987 9.3477
O 9.8828 3.3400 3.9168
O 9.9253 6.0321 0.9203
O 10.1425 0.1391 6.5822
O 10.2139 6.0560 3.8510
O 11.5413 4.3023 5.6085
O 11.6174 1.8534 5.0615
O 11.7001 1.8752 8.1071
O 11.9072 4.5379 2.3364
O 12.8531 6.4373 6.9261
O 12.8986 6.1654 3.9784
```

Largest 12 diffraction maxima, by angle, 15° ≤ 2θ ≤ 90°:
15.26°, I = 19, (1 1 0)
15.88°, I = 100, (0 1 1)
20.98°, I = 8, (2 1 1)
25.99°, I = 8, (3 1 1)
28.21°, I = 20, (0 1 3)
31.79°, I = 9, (4 1 1)
31.97°, I = 24, (4 0 2)
32.16°, I = 17, (0 2 2)
32.98°, I = 7, (0 0 4)
35.06°, I = 7, (2 2 2)
40.80°, I = 5, (5 1 2)
52.12°, I = 8, (4 2 4)

***

No. 2
Diffraction record for LiVPO4. The powder diffractogram is simulated, not measured: it uses a crystal structure in the Materials Project, relaxed with GGA+U and CuKα.

Cell and atoms:
```
28
Lattice="9.4186 0.0000 0.0000 0.0000 6.3203 0.0000 0.0000 0.0000 4.9846" Properties=species:S:1:pos:R:3 pbc="T T T"
Li 1.6063 1.5801 0.0789
Li 3.1030 4.7402 2.5712
Li 6.3157 1.5801 2.4134
Li 7.8123 4.7402 4.9057
V 0.0000 0.0000 2.4923
V 0.0000 3.1601 2.4923
V 4.7093 0.0000 0.0000
V 4.7093 3.1601 0.0000
P 1.6777 4.7402 0.0722
P 3.0316 1.5801 2.5645
P 6.3870 4.7402 2.4201
P 7.7410 1.5801 4.9124
O 1.1377 3.4578 0.7247
O 1.1377 6.0226 0.7247
O 1.2950 4.7402 3.5265
O 1.4684 1.5801 2.8136
O 3.2410 4.7402 0.3213
O 3.4143 1.5801 1.0342
O 3.5716 0.2977 3.2170
O 3.5716 2.8625 3.2170
O 5.8471 3.4578 1.7676
O 5.8471 6.0226 1.7676
O 6.0043 4.7402 3.9503
O 6.1777 1.5801 4.6633
O 7.9503 4.7402 2.1710
O 8.1236 1.5801 1.4581
O 8.2809 0.2977 4.2599
O 8.2809 2.8625 4.2599
```

Largest 12 diffraction maxima, by angle, 15° ≤ 2θ ≤ 90°:
20.16°, I = 53, (1 0 1)
23.56°, I = 40, (2 1 0)
24.63°, I = 100, (1 1 1)
33.74°, I = 93, (3 0 1)
34.17°, I = 97, (2 2 0)
34.94°, I = 48, (1 2 1)
36.04°, I = 33, (0 0 2)
38.78°, I = 32, (2 2 1)
44.56°, I = 24, (3 2 1)
50.50°, I = 46, (2 2 2)
60.12°, I = 37, (5 2 1)
64.09°, I = 28, (1 2 3)